Structure and theoretical XRD peak list of Ca2MnP2O10 (the GGA+U geometry in Alexandria; Cu Kα, 1.54184 Å).
Lines closer than 0.1° are merged.

Most intense lines, 2θ from 5° to 70°, by angle:
| 2θ/deg | Rel. int. | index |
| --- | --- | --- |
| 13.52 | 100.0 | 0 0 1 |
| 19.87 | 53.5 | 0 1 -1 |
| 27.23 | 33.5 | 0 0 2 |
| 27.95 | 81.4 | 1 -1 0 |
| 31.97 | 59.8 | 1 2 1 |
| 35.00 | 34.7 | 2 1 0 |

Atomic structure:
```
Ca2MnP2O10
1.0
5.269 0.000 0.000
2.138 5.795 0.000
1.481 -0.386 6.550
Ca Mn P O
2 1 2 10
direct
0.173 0.096 0.249
0.827 0.904 0.751
0.500 0.500 0.000
0.122 0.263 0.772
0.878 0.737 0.228
0.054 0.514 0.705
0.128 0.751 0.051
0.158 0.085 0.603
0.381 0.202 0.867
0.411 0.379 0.238
0.589 0.621 0.762
0.619 0.798 0.133
0.842 0.915 0.397
0.872 0.249 0.949
0.946 0.486 0.295
```